# 1
Structure and theoretical powder diffractogram of KAg2PSe3S (a cell relaxed with PBE; CuKα).
No peak broadening, texture or thermal motion is included.

Most intense lines, 10 to 90 degrees two-theta, low angle first:
- (0 2 0), 2θ = 18.11°, d 4.898, I = 27
- (2 0 -1), 2θ = 20.43°, d 4.346, I = 35
- (2 0 0), 2θ = 27.16°, d 3.283, I = 45
- (2 2 -1), 2θ = 27.43°, d 3.252, I = 100
- (2 0 -2), 2θ = 27.80°, d 3.209, I = 56
- (1 3 0), 2θ = 30.54°, d 2.927, I = 40
- (0 4 0), 2θ = 36.67°, d 2.451, I = 29
- (0 0 2), 2θ = 36.84°, d 2.440, I = 33
- (2 2 1), 2θ = 46.12°, d 1.968, I = 35
- (4 2 -1), 2θ = 49.15°, d 1.854, I = 34

Cell and atoms:
```
data_KAg2PSe3S
_chemical_formula_sum 'K2 Ag4 P2 Se6 S2'
_space_group_name_H-M_alt 'C 1 m 1'
_space_group_IT_number 8
_cell_length_a 8.695
_cell_length_b 9.803
_cell_length_c 6.462
_cell_angle_alpha 90.00
_cell_angle_beta 130.96
_cell_angle_gamma 90.00
loop_
_space_group_symop_operation_xyz
'x,y,z'
'x,-y,z'
'x+1/2,y+1/2,z'
'x+1/2,-y+1/2,z'
loop_
_atom_site_label
_atom_site_type_symbol
_atom_site_fract_x
_atom_site_fract_y
_atom_site_fract_z
_atom_site_occupancy
K1 K 0.000 0.000 0.000 1
Ag1 Ag 0.013 0.257 0.508 1
P1 P 0.014 0.500 0.029 1
Se1 Se 0.156 0.311 0.018 1
Se2 Se 0.183 0.000 0.648 1
S1 S 0.057 0.500 0.382 1
```


# 2
Structure and theoretical powder diffractogram of Li2ZnSiO4 (a cell relaxed with PBE; CuKα).
No peak broadening, texture or thermal motion is included.

Most intense lines, 10 to 90 degrees two-theta, low angle first:
- (0 1 1), 2θ = 21.95°, d 4.050, I = 83
- (1 0 -2), 2θ = 22.88°, d 3.886, I = 100
- (1 1 0), 2θ = 28.43°, d 3.139, I = 26
- (0 1 2), 2θ = 33.28°, d 2.692, I = 50
- (0 2 0), 2θ = 33.68°, d 2.661, I = 27
- (2 0 -2), 2θ = 36.17°, d 2.484, I = 46
- (1 1 1), 2θ = 37.96°, d 2.370, I = 23
- (1 1 -3), 2θ = 38.08°, d 2.363, I = 21
- (1 2 -1), 2θ = 38.38°, d 2.346, I = 20
- (0 3 2), 2θ = 59.98°, d 1.542, I = 28

Cell and atoms:
```
data_Li2ZnSiO4
_chemical_formula_sum 'Li4 Zn2 Si2 O8'
_space_group_name_H-M_alt 'P 1 c 1'
_space_group_IT_number 7
_cell_length_a 4.967
_cell_length_b 5.322
_cell_length_c 7.961
_cell_angle_alpha 90.00
_cell_angle_beta 128.37
_cell_angle_gamma 90.00
loop_
_space_group_symop_operation_xyz
'x,y,z'
'x,-y,z+1/2'
loop_
_atom_site_label
_atom_site_type_symbol
_atom_site_fract_x
_atom_site_fract_y
_atom_site_fract_z
_atom_site_occupancy
Li1 Li 0.000 0.159 0.000 1
Li2 Li 0.750 0.325 0.249 1
Zn1 Zn 0.256 0.332 0.753 1
Si1 Si 0.507 0.171 0.500 1
O1 O 0.178 0.314 0.282 1
O2 O 0.400 0.122 0.001 1
O3 O 0.619 0.317 0.719 1
O4 O 0.837 0.178 0.499 1
```


# 3
Structure and theoretical powder diffractogram of NdAsO4 (a cell relaxed with PBE; CuKα).
No peak broadening, texture or thermal motion is included.

Most intense lines, 10 to 90 degrees two-theta, low angle first:
- (1 0 1), 2θ = 18.96°, d 4.681, I = 9
- (1 1 2), 2θ = 29.10°, d 3.069, I = 100
- (0 0 4), 2θ = 30.85°, d 2.898, I = 16
- (2 0 0), 2θ = 35.08°, d 2.558, I = 21
- (2 0 4), 2θ = 47.40°, d 1.918, I = 29
- (2 2 0), 2θ = 50.45°, d 1.809, I = 12
- (1 1 6), 2θ = 53.79°, d 1.704, I = 18
- (3 1 2), 2θ = 59.30°, d 1.558, I = 28
- (2 2 4), 2θ = 60.32°, d 1.535, I = 12
- (1 3 6), 2θ = 76.85°, d 1.240, I = 13

Cell and atoms:
```
data_NdAsO4
_chemical_formula_sum 'Nd4 As4 O16'
_space_group_name_H-M_alt 'I 41/a'
_space_group_IT_number 88
_cell_length_a 5.116
_cell_length_b 5.116
_cell_length_c 11.593
_cell_angle_alpha 90.00
_cell_angle_beta 90.00
_cell_angle_gamma 90.00
loop_
_space_group_symop_operation_xyz
'x,y,z'
'-x,-y,-z'
'-y+3/4,x+1/4,z+1/4'
'y+3/4,-x+1/4,-z+1/4'
'-x+1/2,-y,z+1/2'
'x+1/2,y,-z+1/2'
'y+3/4,-x+3/4,z+3/4'
'-y+3/4,x+3/4,-z+3/4'
'x+1/2,y+1/2,z+1/2'
'-x+1/2,-y+1/2,-z+1/2'
'-y+1/4,x+3/4,z+3/4'
'y+1/4,-x+3/4,-z+3/4'
'-x,-y+1/2,z'
'x,y+1/2,-z'
'y+1/4,-x+1/4,z+1/4'
'-y+1/4,x+1/4,-z+1/4'
loop_
_atom_site_label
_atom_site_type_symbol
_atom_site_fract_x
_atom_site_fract_y
_atom_site_fract_z
_atom_site_occupancy
Nd1 Nd 0.000 0.250 0.125 1
As1 As 0.000 0.250 0.625 1
O1 O 0.137 0.000 0.704 1
```


# 4
Structure and theoretical powder diffractogram of FeB4 (a cell relaxed with PBE; CuKα).
No peak broadening, texture or thermal motion is included.

Most intense lines, 10 to 90 degrees two-theta, low angle first:
- (1 1 2), 2θ = 30.21°, d 2.958, I = 100
- (0 0 4), 2θ = 35.02°, d 2.562, I = 76
- (2 1 3), 2θ = 47.79°, d 1.903, I = 4
- (2 2 0), 2θ = 50.37°, d 1.812, I = 51
- (3 1 2), 2θ = 59.83°, d 1.546, I = 53
- (1 1 6), 2θ = 59.94°, d 1.543, I = 26
- (2 2 4), 2θ = 62.82°, d 1.479, I = 17
- (3 1 6), 2θ = 81.96°, d 1.176, I = 15
- (4 2 0), 2θ = 84.52°, d 1.146, I = 14
- (2 0 8), 2θ = 84.69°, d 1.145, I = 7

Cell and atoms:
```
data_FeB4
_chemical_formula_sum 'Fe8 B32'
_space_group_name_H-M_alt 'I 41/a c d'
_space_group_IT_number 142
_cell_length_a 5.128
_cell_length_b 5.128
_cell_length_c 10.232
_cell_angle_alpha 90.00
_cell_angle_beta 90.00
_cell_angle_gamma 90.00
loop_
_space_group_symop_operation_xyz
'x,y,z'
'-x,-y,-z'
'-y+1/4,x+3/4,z+1/4'
'y+1/4,-x+3/4,-z+1/4'
'-x+1/2,-y,z+1/2'
'x+1/2,y,-z+1/2'
'y+1/4,-x+1/4,z+3/4'
'-y+1/4,x+1/4,-z+3/4'
'x,-y,-z+1/2'
'-x,y,z+1/2'
'-y+1/4,-x+1/4,-z+1/4'
'y+1/4,x+1/4,z+1/4'
'-x+1/2,y,-z'
'x+1/2,-y,z'
'y+1/4,x+3/4,-z+3/4'
'-y+1/4,-x+3/4,z+3/4'
'x+1/2,y+1/2,z+1/2'
'-x+1/2,-y+1/2,-z+1/2'
'-y+3/4,x+1/4,z+3/4'
'y+3/4,-x+1/4,-z+3/4'
'-x,-y+1/2,z'
'x,y+1/2,-z'
'y+3/4,-x+3/4,z+1/4'
'-y+3/4,x+3/4,-z+1/4'
'x+1/2,-y+1/2,-z'
'-x+1/2,y+1/2,z'
'-y+3/4,-x+3/4,-z+3/4'
'y+3/4,x+3/4,z+3/4'
'-x,y+1/2,-z+1/2'
'x,-y+1/2,z+1/2'
'y+3/4,x+1/4,-z+1/4'
'-y+3/4,-x+1/4,z+1/4'
loop_
_atom_site_label
_atom_site_type_symbol
_atom_site_fract_x
_atom_site_fract_y
_atom_site_fract_z
_atom_site_occupancy
Fe1 Fe 0.000 0.250 0.125 1
B1 B 0.124 0.120 0.437 1
```


# 5
Structure and theoretical powder diffractogram of Hf2TaZn (a cell relaxed with PBE; CuKα).
No peak broadening, texture or thermal motion is included.

Most intense lines, 10 to 90 degrees two-theta, low angle first:
- (1 1 1), 2θ = 22.99°, d 3.869, I = 7
- (2 0 0), 2θ = 26.60°, d 3.351, I = 4
- (2 2 0), 2θ = 37.98°, d 2.369, I = 100
- (3 1 1), 2θ = 44.86°, d 2.021, I = 4
- (4 0 0), 2θ = 54.80°, d 1.675, I = 17
- (3 3 1), 2θ = 60.19°, d 1.537, I = 2
- (4 2 0), 2θ = 61.93°, d 1.498, I = 2
- (4 2 2), 2θ = 68.61°, d 1.368, I = 35
- (4 4 0), 2θ = 81.20°, d 1.185, I = 11
- (5 3 1), 2θ = 85.78°, d 1.133, I = 1

Cell and atoms:
```
data_Hf2TaZn
_chemical_formula_sum 'Hf8 Ta4 Zn4'
_space_group_name_H-M_alt 'F -4 3 m'
_space_group_IT_number 216
_space_group_name_Hall 'F -4 2 3'
_cell_length_a 6.701
_cell_length_b 6.701
_cell_length_c 6.701
_cell_angle_alpha 90.00
_cell_angle_beta 90.00
_cell_angle_gamma 90.00
loop_
_atom_site_label
_atom_site_type_symbol
_atom_site_fract_x
_atom_site_fract_y
_atom_site_fract_z
_atom_site_occupancy
Hf1 Hf 0.000 0.000 0.000 1
Hf2 Hf 0.250 0.250 0.250 1
Ta1 Ta 0.250 0.250 0.750 1
Zn1 Zn 0.000 0.000 0.500 1
```


# 6
Structure and theoretical powder diffractogram of Na2Sm3Te4Cl3O12 (a cell relaxed with PBE; CuKα).
No peak broadening, texture or thermal motion is included.

Most intense lines, 10 to 90 degrees two-theta, low angle first:
- (2 0 0), 2θ = 10.44°, d 8.472, I = 71
- (1 1 1), 2θ = 19.66°, d 4.515, I = 34
- (1 1 -3), 2θ = 24.64°, d 3.612, I = 33
- (5 1 -3), 2θ = 24.78°, d 3.593, I = 35
- (1 1 3), 2θ = 30.72°, d 2.911, I = 100
- (7 1 -3), 2θ = 30.94°, d 2.890, I = 95
- (6 0 -6), 2θ = 31.76°, d 2.818, I = 38
- (0 2 0), 2θ = 31.82°, d 2.812, I = 31
- (6 2 -6), 2θ = 45.56°, d 1.991, I = 49
- (11 1 -9), 2θ = 52.58°, d 1.741, I = 18

Cell and atoms:
```
data_Na2Sm3Te4Cl3O12
_chemical_formula_sum 'Na8 Sm12 Te16 Cl12 O48'
_space_group_name_H-M_alt 'C 1 2/c 1'
_space_group_IT_number 15
_cell_length_a 23.810
_cell_length_b 5.625
_cell_length_c 16.896
_cell_angle_alpha 90.00
_cell_angle_beta 134.63
_cell_angle_gamma 90.00
loop_
_space_group_symop_operation_xyz
'x,y,z'
'-x,-y,-z'
'-x,y,-z+1/2'
'x,-y,z+1/2'
'x+1/2,y+1/2,z'
'-x+1/2,-y+1/2,-z'
'-x+1/2,y+1/2,-z+1/2'
'x+1/2,-y+1/2,z+1/2'
loop_
_atom_site_label
_atom_site_type_symbol
_atom_site_fract_x
_atom_site_fract_y
_atom_site_fract_z
_atom_site_occupancy
Na1 Na 0.166 0.210 0.068 1
Sm1 Sm 0.000 0.250 0.750 1
Sm2 Sm 0.002 0.251 0.086 1
Te1 Te 0.138 0.201 0.700 1
Te2 Te 0.140 0.306 0.410 1
Cl1 Cl 0.250 0.247 0.667 1
Cl2 Cl 0.250 0.250 0.000 1
O1 O 0.070 0.081 0.713 1
O2 O 0.073 0.445 0.594 1
O3 O 0.075 0.425 0.262 1
O4 O 0.078 0.053 0.390 1
O5 O 0.088 0.018 0.080 1
O6 O 0.089 0.480 0.930 1
```